The following is a calculated X-ray diffraction stick pattern of HoGa4Ni2Rh. It was derived from DFT lattice parameters and positions (GGA-PBE), using Cu Kα.

Crystal structure
```
HoGa4Ni2Rh
1.0
2.058 1.188 8.702
-2.058 1.188 8.702
0.000 -2.377 8.702
Ho Ga Ni Rh
1 4 2 1
direct
0.000 0.000 0.000
0.129 0.129 0.129
0.400 0.400 0.400
0.600 0.600 0.600
0.871 0.871 0.871
0.233 0.233 0.233
0.767 0.767 0.767
0.500 0.500 0.500
```

Peak list (10 most intense, 15 to 90 degrees two-theta, in order of falling intensity)
d 2.058, rel. 100.0; d 2.407, rel. 97.2; d 3.439, rel. 28.0; d 1.564, rel. 24.9; d 2.106, rel. 23.4; d 1.245, rel. 22.7; d 2.944, rel. 18.8; d 1.976, rel. 17.5; d 1.188, rel. 15.9; d 3.129, rel. 10.2